The following is a simulated powder XRD pattern of PmSm3Ag3. It was derived from DFT lattice parameters and positions (GGA-PBE), using copper Kα.
Kinematic intensities with the Lorentz-polarization factor, no thermal factor.

Top 10 peaks for 2θ = 10–90°, in order of rising 2θ:
index  d (Å)  Rel. int.
1 3 -1  3.093  34
3 1 -1  2.961  48
2 0 2  2.890  75
0 4 0  2.731  67
2 2 -2  2.582  100
4 0 0  2.543  24
3 3 1  2.335  35
4 2 0  2.305  36
2 4 2  1.985  27
0 2 4  1.687  29

Cell and atoms:
Lattice parameters (Å, degrees): 10.171 10.925 7.096 90.00 90.82 90.00
Space group C2/m (No. 12)
Unique sites:
1 Pm 0.244 0.000 0.353 x4
2 Sm 0.000 0.237 0.500 x4
3 Sm 0.000 0.318 0.000 x4
4 Sm 0.130 0.000 0.855 x4
5 Ag 0.070 0.500 0.315 x4
6 Ag 0.241 0.262 0.232 x8

The following is a simulated powder XRD pattern of LiAg3Au5. It was derived from DFT lattice parameters and positions (GGA-PBE), using copper Kα.
Kinematic intensities with the Lorentz-polarization factor, no thermal factor.

Top 10 peaks for 2θ = 10–90°, in order of rising 2θ:
index  d (Å)  Rel. int.
2 1 0  3.273  33
2 1 1  2.916  33
2 2 0  2.588  48
2 0 2  2.414  100
3 1 0  2.314  53
2 1 2  2.292  84
4 1 0  1.775  30
4 1 2  1.554  31
3 3 2  1.520  19
5 1 2  1.310  17

Cell and atoms:
Lattice parameters (Å, degrees): 7.319 7.319 6.423 90.00 90.00 90.00
Space group P4/mbm (No. 127)
Unique sites:
1 Li 0.000 0.500 0.000 x2
2 Ag 0.000 0.000 0.000 x2
3 Ag 0.123 0.377 0.500 x4
4 Au 0.000 0.000 0.500 x2
5 Au 0.193 0.693 0.214 x8